Calculated XRD peak list
Compound: NaTe3Br
Radiation: copper Kα
Structure: a PBE-relaxed structure

abc: 5.6759 5.6759 5.6759
angles: 90.00 90.00 90.00
Space group Pm-3m (No. 221)
Unique sites:
Na 0.0000 0.0000 0.0000
Te 0.0000 0.5000 0.5000
Br 0.5000 0.5000 0.5000

Largest 10 diffraction maxima, by intensity, 2θ = 10–80°:
- hkl 2 0 0, 31.52 deg, d 2.838, I 100.0
- hkl 1 1 1, 27.21 deg, d 3.277, I 84.2
- hkl 1 0 0, 15.61 deg, d 5.676, I 80.2
- hkl 2 2 0, 45.18 deg, d 2.007, I 72.8
- hkl 2 1 0, 35.36 deg, d 2.538, I 42.1
- hkl 3 1 1, 53.55 deg, d 1.711, I 38.1
- hkl 4 2 0, 74.81 deg, d 1.269, I 31.8
- hkl 2 2 2, 56.13 deg, d 1.638, I 25.3
- hkl 3 0 0, 48.09 deg, d 1.892, I 21.9
- hkl 3 3 1, 72.60 deg, d 1.302, I 14.9